Record 1
Computed X-ray powder pattern
Compound: In2CuAu7
Radiation: Cu Ka
Structure: a crystal structure in Alexandria, relaxed with GGA-PBE

Crystal structure
```
data_In2CuAu7
_chemical_formula_sum 'In8 Cu4 Au28'
_symmetry_space_group_name_H-M 'F m -3 m'
_symmetry_Int_Tables_number 225
_symmetry_space_group_name_Hall '-F 4 2 3'
_cell_length_a 10.0770
_cell_length_b 10.0770
_cell_length_c 10.0770
_cell_angle_alpha 90.00
_cell_angle_beta 90.00
_cell_angle_gamma 90.00
loop_
_atom_site_label
_atom_site_type_symbol
_atom_site_fract_x
_atom_site_fract_y
_atom_site_fract_z
In1 In 0.2500 0.2500 0.2500
Cu1 Cu 0.0000 0.0000 0.0000
Au1 Au 0.0000 0.0000 0.2399
Au2 Au 0.0000 0.0000 0.5000
```

Largest 6 diffraction maxima, most intense first, 5 to 70 degrees two-theta:
(4 0 0), 2.519 Å, 35.6°, I = 100; (2 2 2), 2.909 Å, 30.7°, I = 91; (4 4 0), 1.781 Å, 51.3°, I = 70; (6 2 2), 1.519 Å, 61.0°, I = 38; (2 0 0), 5.038 Å, 17.6°, I = 36; (4 4 4), 1.454 Å, 64.0°, I = 24

=====

Record 2
Computed X-ray powder pattern
Compound: Na8B13C3
Radiation: Cu Ka
Structure: a crystal structure in Alexandria, relaxed with GGA-PBE

Crystal structure
```
data_Na8B13C3
_chemical_formula_sum 'Na8 B13 C3'
_symmetry_space_group_name_H-M 'P 3 m 1'
_symmetry_Int_Tables_number 156
_symmetry_space_group_name_Hall 'P 3 -2"'
_cell_length_a 2.9434
_cell_length_b 2.9434
_cell_length_c 34.3881
_cell_angle_alpha 90.00
_cell_angle_beta 90.00
_cell_angle_gamma 120.00
loop_
_atom_site_label
_atom_site_type_symbol
_atom_site_fract_x
_atom_site_fract_y
_atom_site_fract_z
Na1 Na 0.0000 0.0000 0.0000
Na2 Na 0.0000 0.0000 0.1225
Na3 Na 0.0000 0.0000 0.2487
Na4 Na 0.0000 0.0000 0.3753
Na5 Na 0.0000 0.0000 0.5019
Na6 Na 0.0000 0.0000 0.6281
Na7 Na 0.0000 0.0000 0.7511
Na8 Na 0.0000 0.0000 0.8774
B1 B 0.3333 0.6667 0.0611
B2 B 0.3333 0.6667 0.1857
B3 B 0.3333 0.6667 0.3122
B4 B 0.3333 0.6667 0.4384
B5 B 0.3333 0.6667 0.5649
B6 B 0.3333 0.6667 0.8142
B7 B 0.6667 0.3333 0.1857
B8 B 0.6667 0.3333 0.3122
B9 B 0.6667 0.3333 0.4384
B10 B 0.6667 0.3333 0.5649
B11 B 0.6667 0.3333 0.6894
B12 B 0.6667 0.3333 0.8142
B13 B 0.6667 0.3333 0.9390
C1 C 0.3333 0.6667 0.6894
C2 C 0.3333 0.6667 0.9391
C3 C 0.6667 0.3333 0.0611
```

Largest 6 diffraction maxima, most intense first, 5 to 70 degrees two-theta:
(1 0 8), 2.193 Å, 41.2°, I = 100; (0 0 16), 2.149 Å, 42.0°, I = 24; (1 0 0), 2.549 Å, 35.2°, I = 19; (1 1 0), 1.472 Å, 63.2°, I = 18; (0 1 16), 1.643 Å, 56.0°, I = 10; (1 1 8), 1.392 Å, 67.2°, I = 2

=====

Record 3
Computed X-ray powder pattern
Compound: HgRhCl
Radiation: Cu Ka
Structure: a crystal structure in Alexandria, relaxed with GGA-PBE

Crystal structure
```
data_HgRhCl
_chemical_formula_sum 'Hg4 Rh4 Cl4'
_symmetry_space_group_name_H-M 'F m m 2'
_symmetry_Int_Tables_number 42
_symmetry_space_group_name_Hall 'F 2 -2'
_cell_length_a 3.2511
_cell_length_b 5.7536
_cell_length_c 13.0595
_cell_angle_alpha 90.00
_cell_angle_beta 90.00
_cell_angle_gamma 90.00
loop_
_atom_site_label
_atom_site_type_symbol
_atom_site_fract_x
_atom_site_fract_y
_atom_site_fract_z
Hg1 Hg 0.0000 0.0000 0.0000
Rh1 Rh 0.0000 0.0000 0.6675
Cl1 Cl 0.0000 0.0000 0.2994
```

Largest 6 diffraction maxima, most intense first, 5 to 70 degrees two-theta:
(1 1 3), 2.373 Å, 37.9°, I = 100; (0 0 2), 6.530 Å, 13.6°, I = 45; (0 2 0), 2.877 Å, 31.1°, I = 44; (1 1 1), 2.766 Å, 32.4°, I = 30; (1 3 3), 1.544 Å, 59.9°, I = 26; (0 0 6), 2.177 Å, 41.5°, I = 17

=====

Record 4
Computed X-ray powder pattern
Compound: Tb3Y2Ho8
Radiation: Cu Ka
Structure: a crystal structure in Alexandria, relaxed with GGA-PBE

Crystal structure
```
data_Tb3Y2Ho8
_chemical_formula_sum 'Tb6 Y4 Ho16'
_symmetry_space_group_name_H-M 'I m m m'
_symmetry_Int_Tables_number 71
_symmetry_space_group_name_Hall '-I 2 2'
_cell_length_a 5.5775
_cell_length_b 6.7870
_cell_length_c 22.2064
_cell_angle_alpha 90.00
_cell_angle_beta 90.00
_cell_angle_gamma 90.00
loop_
_atom_site_label
_atom_site_type_symbol
_atom_site_fract_x
_atom_site_fract_y
_atom_site_fract_z
Tb1 Tb 0.0000 0.0000 0.0000
Tb2 Tb 0.0000 0.2355 0.5000
Y1 Y 0.0000 0.5000 0.2232
Ho1 Ho 0.0000 0.0000 0.1826
Ho2 Ho 0.0000 0.2384 0.3482
Ho3 Ho 0.0000 0.5000 0.0748
```

Largest 6 diffraction maxima, most intense first, 5 to 70 degrees two-theta:
(1 2 1), 2.875 Å, 31.1°, I = 100; (2 0 0), 2.789 Å, 32.1°, I = 49; (1 0 7), 2.758 Å, 32.5°, I = 42; (1 1 6), 2.808 Å, 31.9°, I = 42; (0 0 6), 3.701 Å, 24.0°, I = 21; (2 0 6), 2.229 Å, 40.5°, I = 17

=====

Record 5
Computed X-ray powder pattern
Compound: NaTl2Pd6
Radiation: Cu Ka
Structure: a crystal structure in Alexandria, relaxed with GGA-PBE

Crystal structure
```
data_NaTl2Pd6
_chemical_formula_sum 'Na1 Tl2 Pd6'
_symmetry_space_group_name_H-M 'P -3 m 1'
_symmetry_Int_Tables_number 164
_symmetry_space_group_name_Hall '-P 3 2"'
_cell_length_a 4.6005
_cell_length_b 4.6005
_cell_length_c 8.5250
_cell_angle_alpha 90.00
_cell_angle_beta 90.00
_cell_angle_gamma 120.00
loop_
_atom_site_label
_atom_site_type_symbol
_atom_site_fract_x
_atom_site_fract_y
_atom_site_fract_z
Na1 Na 0.0000 0.0000 0.0000
Tl1 Tl 0.3333 0.6667 0.2268
Pd1 Pd 0.0000 0.0000 0.3378
Pd2 Pd 0.3333 0.6667 0.5511
Pd3 Pd 0.3333 0.6667 0.8868
```

Largest 6 diffraction maxima, most intense first, 5 to 70 degrees two-theta:
(1 0 3), 2.314 Å, 38.9°, I = 100; (1 1 0), 2.300 Å, 39.2°, I = 96; (0 2 3), 1.631 Å, 56.4°, I = 34; (1 0 1), 3.609 Å, 24.7°, I = 19; (1 0 0), 3.984 Å, 22.3°, I = 11; (0 0 2), 4.263 Å, 20.8°, I = 8

=====

Record 6
Computed X-ray powder pattern
Compound: NaAc2Rh
Radiation: Cu Ka
Structure: a crystal structure in Alexandria, relaxed with GGA-PBE

Crystal structure
```
data_NaAc2Rh
_chemical_formula_sum 'Na2 Ac4 Rh2'
_symmetry_space_group_name_H-M 'C 1 2 1'
_symmetry_Int_Tables_number 5
_symmetry_space_group_name_Hall 'C 2y'
_cell_length_a 7.4692
_cell_length_b 4.3104
_cell_length_c 10.0958
_cell_angle_alpha 90.00
_cell_angle_beta 103.97
_cell_angle_gamma 90.00
loop_
_atom_site_label
_atom_site_type_symbol
_atom_site_fract_x
_atom_site_fract_y
_atom_site_fract_z
Na1 Na 0.0000 0.0000 0.0000
Ac1 Ac 0.2205 0.9981 0.6648
Rh1 Rh 0.0000 0.4979 0.5000
```

Largest 6 diffraction maxima, most intense first, 5 to 70 degrees two-theta:
(0 0 1), 9.797 Å, 9.0°, I = 100; (2 0 -2), 3.329 Å, 26.8°, I = 60; (1 1 2), 2.794 Å, 32.0°, I = 29; (0 2 0), 2.156 Å, 41.9°, I = 28; (1 1 -1), 3.619 Å, 24.6°, I = 27; (3 1 0), 2.105 Å, 43.0°, I = 15